No. 1
Diffraction record for Cd4Ga2AgHg2. The powder XRD pattern is computed, not measured: it uses a crystal structure in Alexandria, relaxed with GGA-PBE and Cu Kα (weighted mean of Kα1 and Kα2).
Lines closer than 0.1° are merged.

Structural model:
```
9
Lattice="3.1030 0.0000 0.0000 -1.5515 2.6873 0.0000 0.0000 0.0000 23.5887" Properties=species:S:1:pos:R:3 pbc="T T T"
Cd 0.0000 0.0000 0.0000
Cd 0.0000 0.0000 5.5596
Cd 0.0000 1.7915 15.2879
Cd 0.0000 1.7915 20.8437
Ga 0.0000 0.0000 8.3632
Ga 0.0000 0.0000 12.7929
Ag 0.0000 1.7915 10.5693
Hg 0.0000 0.0000 18.0446
Hg 0.0000 1.7915 2.7980
```

The 10 most intense peaks (15° ≤ 2θ ≤ 90°), in order of rising 2θ:
2θ/deg, d [Å], I (rel.)
30.3, 2.949, 20.0
33.3, 2.687, 41.2
34.2, 2.621, 48.9
36.8, 2.445, 100.0
38.6, 2.335, 53.7
40.7, 2.219, 15.9
48.5, 1.876, 18.0
59.6, 1.552, 30.1
61.7, 1.504, 20.3
70.5, 1.335, 25.0

---

No. 2
Diffraction record for Dy2Ge5Rh3. The powder XRD pattern is computed, not measured: it uses a crystal structure in Alexandria, relaxed with GGA-PBE and Cu Kα (weighted mean of Kα1 and Kα2).
Lines closer than 0.1° are merged.

Structural model:
```
20
Lattice="5.6803 -6.1137 0.0000 5.6803 6.1137 0.0000 -2.7802 0.0000 5.1871" Properties=species:S:1:pos:R:3 pbc="T T T"
Dy 1.9667 1.6971 1.2307
Dy 0.5765 -1.6971 3.8242
Dy 8.0038 1.6971 1.3629
Dy 6.6137 -1.6971 3.9564
Ge 3.5951 5.9523 3.8903
Ge 1.4405 1.1615 4.3095
Ge 3.5951 2.7179 3.8903
Ge 4.9852 2.5354 1.2968
Ge 2.8306 -1.1615 1.7159
Ge 5.7498 1.1615 3.4712
Ge 3.5951 -2.5354 3.8903
Ge 4.9852 -2.7179 1.2968
Ge 7.1399 -1.1615 0.8776
Ge 4.9852 -5.9523 1.2968
Rh 3.5401 4.3785 1.9428
Rh 6.4304 4.3785 0.6507
Rh 4.9852 0.0271 1.2968
Rh 3.5951 -0.0271 3.8903
Rh 2.1500 -4.3785 4.5364
Rh 5.0403 -4.3785 3.2443
```

The 10 most intense peaks (15° ≤ 2θ ≤ 90°), in order of rising 2θ:
2θ/deg, d [Å], I (rel.)
29.2, 3.057, 20.6
30.4, 2.939, 18.9
33.6, 2.671, 52.6
34.4, 2.608, 82.1
34.6, 2.594, 63.3
34.8, 2.576, 69.2
36.2, 2.479, 35.3
42.7, 2.119, 100.0
49.6, 1.837, 18.3
63.3, 1.469, 18.6

---

No. 3
Diffraction record for Tb9Pm11Th4. The powder XRD pattern is computed, not measured: it uses a crystal structure in Alexandria, relaxed with GGA-PBE and Cu Kα (weighted mean of Kα1 and Kα2).
Lines closer than 0.1° are merged.

Structural model:
```
24
Lattice="8.5488 -12.8551 0.0000 8.5488 12.8551 0.0000 0.0000 0.0000 3.7048" Properties=species:S:1:pos:R:3 pbc="T T T"
Tb 0.0000 0.0000 0.0000
Tb 6.8215 6.7852 0.0000
Tb 6.1642 1.8657 0.0000
Tb 10.2760 6.7852 0.0000
Tb 6.1642 -1.8657 0.0000
Tb 10.9333 1.8657 0.0000
Tb 6.8215 -6.7852 0.0000
Tb 10.9333 -1.8657 0.0000
Tb 10.2760 -6.7852 0.0000
Pm 4.6566 4.6701 1.8524
Pm 8.5488 9.4515 1.8524
Pm 3.5366 0.0000 1.8524
Pm 8.5488 4.0510 1.8524
Pm 4.6566 -4.6701 1.8524
Pm 8.5488 0.0000 1.8524
Pm 12.4410 4.6701 1.8524
Pm 8.5488 -4.0510 1.8524
Pm 13.5609 0.0000 1.8524
Pm 8.5488 -9.4515 1.8524
Pm 12.4410 -4.6701 1.8524
Th 2.6809 2.6273 0.0000
Th 2.6809 -2.6273 0.0000
Th 14.4166 2.6273 0.0000
Th 14.4166 -2.6273 0.0000
```

The 10 most intense peaks (15° ≤ 2θ ≤ 90°), in order of rising 2θ:
2θ/deg, d [Å], I (rel.)
29.5, 3.026, 51.1
29.7, 3.006, 25.2
30.6, 2.920, 17.5
31.8, 2.818, 13.7
32.0, 2.801, 100.0
32.2, 2.782, 10.4
33.7, 2.660, 12.9
49.2, 1.852, 13.5
58.4, 1.580, 15.5
61.4, 1.509, 10.1

---

No. 4
Diffraction record for Pr12NdTl7. The powder XRD pattern is computed, not measured: it uses a crystal structure in Alexandria, relaxed with GGA-PBE and Cu Kα (weighted mean of Kα1 and Kα2).
Lines closer than 0.1° are merged.

Structural model:
```
20
Lattice="7.0502 4.0704 4.0839 -7.0502 4.0704 4.0839 0.0000 -8.1409 4.0839" Properties=species:S:1:pos:R:3 pbc="T T T"
Pr -1.7858 -1.5369 3.8526
Pr -3.8024 1.0622 4.9649
Pr -2.8211 -2.7619 7.2869
Pr 0.9813 -3.8241 4.9649
Pr -0.4381 2.3150 3.8526
Pr 2.2239 -0.7781 3.8526
Pr -2.2239 0.7781 8.3993
Pr 0.4381 -2.3150 8.3993
Pr -0.9814 3.8241 7.2869
Pr 2.8211 2.7619 4.9650
Pr 3.8024 -1.0622 7.2869
Pr 1.7858 1.5369 8.3993
Nd 0.0000 0.0000 0.0000
Tl -2.3820 1.1546 1.7121
Tl 0.1911 -2.6402 1.7121
Tl 2.1909 1.4856 1.7121
Tl 0.0000 0.0000 6.1259
Tl -2.1909 -1.4856 10.5397
Tl -0.1911 2.6402 10.5397
Tl 2.3820 -1.1546 10.5397
```

The 10 most intense peaks (15° ≤ 2θ ≤ 90°), in order of rising 2θ:
2θ/deg, d [Å], I (rel.)
20.5, 4.323, 13.8
25.2, 3.533, 12.1
27.3, 3.264, 19.0
30.1, 2.964, 100.0
31.0, 2.883, 15.3
32.7, 2.737, 29.6
38.3, 2.350, 13.7
39.7, 2.272, 18.9
43.8, 2.065, 16.5
46.4, 1.955, 13.4

---

No. 5
Diffraction record for Cs3AlCu. The powder XRD pattern is computed, not measured: it uses a crystal structure in Alexandria, relaxed with GGA-PBE and Cu Kα (weighted mean of Kα1 and Kα2).
Lines closer than 0.1° are merged.

Structural model:
```
5
Lattice="7.1380 0.0000 0.0000 0.0000 7.1380 0.0000 0.0000 0.0000 7.1380" Properties=species:S:1:pos:R:3 pbc="T T T"
Cs 0.0000 0.0000 3.5690
Cs 0.0000 3.5690 0.0000
Cs 3.5690 0.0000 0.0000
Al 0.0000 0.0000 0.0000
Cu 3.5690 3.5690 3.5690
```

The 10 most intense peaks (15° ≤ 2θ ≤ 90°), in order of rising 2θ:
2θ/deg, d [Å], I (rel.)
21.6, 4.121, 100.0
24.9, 3.569, 67.1
35.6, 2.524, 52.4
42.0, 2.152, 51.6
43.9, 2.061, 19.1
56.2, 1.638, 21.7
57.8, 1.596, 25.2
63.9, 1.457, 18.6
68.3, 1.374, 16.1
79.4, 1.207, 15.9

---

No. 6
Diffraction record for AcEr4Pt3O12. The powder XRD pattern is computed, not measured: it uses a crystal structure in Alexandria, relaxed with GGA-PBE and Cu Kα (weighted mean of Kα1 and Kα2).
Lines closer than 0.1° are merged.

Structural model:
```
20
Lattice="-4.1062 4.1062 4.1062 4.1062 -4.1062 4.1062 4.1062 4.1062 -4.1062" Properties=species:S:1:pos:R:3 pbc="T T T"
Ac 0.0000 0.0000 0.0000
Er 2.0531 2.0531 -2.0531
Er 2.0531 -2.0531 2.0531
Er -2.0531 2.0531 2.0531
Er 2.0531 2.0531 2.0531
Pt 4.1062 0.0000 0.0000
Pt 0.0000 4.1062 0.0000
Pt 0.0000 0.0000 4.1062
O 4.1062 2.8233 -1.5727
O 2.5335 0.0000 1.2829
O 5.6789 0.0000 1.2829
O 1.2829 2.5335 0.0000
O 2.8233 -1.5727 4.1062
O 0.0000 1.2829 2.5335
O 4.1062 2.8233 1.5727
O 1.2829 5.6789 0.0000
O 2.8233 1.5727 4.1062
O -1.5727 4.1062 2.8233
O 1.5727 4.1062 2.8233
O 0.0000 1.2829 5.6789
```

The 10 most intense peaks (15° ≤ 2θ ≤ 90°), in order of rising 2θ:
2θ/deg, d [Å], I (rel.)
21.6, 4.106, 0.9
30.8, 2.904, 100.0
34.5, 2.597, 0.9
38.0, 2.371, 0.7
44.1, 2.053, 21.2
54.8, 1.676, 46.4
64.1, 1.452, 13.0
72.8, 1.298, 18.6
81.1, 1.185, 4.7
89.3, 1.097, 22.9

---

No. 7
Diffraction record for KHgBi2Au2. The powder XRD pattern is computed, not measured: it uses a crystal structure in Alexandria, relaxed with GGA-PBE and Cu Kα (weighted mean of Kα1 and Kα2).
Lines closer than 0.1° are merged.

Structural model:
```
12
Lattice="7.7465 0.0000 0.0000 0.0000 10.0161 0.0000 0.0000 0.0000 5.0299" Properties=species:S:1:pos:R:3 pbc="T T T"
K 0.0000 0.0000 0.0000
K 3.8733 5.0081 2.5150
Hg 0.0000 5.0081 0.0000
Hg 3.8733 0.0000 2.5150
Bi 0.7136 2.9568 2.5150
Bi 3.1597 7.9649 0.0000
Bi 4.5868 2.0513 0.0000
Bi 7.0329 7.0594 2.5150
Au 1.8193 8.0989 2.5150
Au 2.0540 3.0908 0.0000
Au 5.6925 6.9253 0.0000
Au 5.9273 1.9173 2.5150
```

The 10 most intense peaks (15° ≤ 2θ ≤ 90°), in order of rising 2θ:
2θ/deg, d [Å], I (rel.)
17.7, 5.008, 35.5
21.1, 4.207, 50.9
27.6, 3.226, 100.0
29.1, 3.064, 21.9
35.7, 2.515, 45.4
37.8, 2.383, 25.3
39.9, 2.259, 49.0
40.3, 2.239, 66.2
46.8, 1.940, 24.3
52.9, 1.730, 19.5

---

No. 8
Diffraction record for Ba12Tl5Zn2. The powder XRD pattern is computed, not measured: it uses a crystal structure in Alexandria, relaxed with GGA-PBE and Cu Kα (weighted mean of Kα1 and Kα2).
Lines closer than 0.1° are merged.

Structural model:
```
19
Lattice="9.5931 -4.3067 0.0000 9.5931 4.3067 0.0000 -2.0335 0.0000 11.2478" Properties=species:S:1:pos:R:3 pbc="T T T"
Ba -0.3209 0.0000 3.1699
Ba 4.3586 2.1910 9.9539
Ba 5.8230 2.1185 4.7927
Ba 11.3298 2.1185 6.4550
Ba 12.7942 2.1910 1.2939
Ba 8.4200 0.0000 1.9396
Ba 8.7328 0.0000 9.3081
Ba 4.3586 -2.1910 9.9539
Ba 5.8230 -2.1185 4.7927
Ba 11.3298 -2.1185 6.4550
Ba 12.7942 -2.1910 1.2939
Ba 17.4737 0.0000 8.0779
Tl 1.3824 0.0000 9.6371
Tl 3.0911 0.0000 4.0489
Tl 8.5764 0.0000 5.6239
Tl 14.0617 0.0000 7.1989
Tl 15.7704 0.0000 1.6107
Zn 9.5931 2.9395 0.0000
Zn 9.5931 -2.9395 0.0000
```

The 10 most intense peaks (15° ≤ 2θ ≤ 90°), in order of rising 2θ:
2θ/deg, d [Å], I (rel.)
17.5, 5.082, 72.0
18.7, 4.738, 92.4
25.7, 3.463, 40.3
26.8, 3.332, 100.0
28.4, 3.147, 77.2
28.7, 3.109, 87.2
30.6, 2.923, 59.2
31.6, 2.835, 96.4
34.3, 2.611, 57.8
42.0, 2.153, 41.0

---

No. 9
Diffraction record for Tm2Nb3Si4. The powder XRD pattern is computed, not measured: it uses a crystal structure in Alexandria, relaxed with GGA-PBE and Cu Kα (weighted mean of Kα1 and Kα2).
Lines closer than 0.1° are merged.

Structural model:
```
18
Lattice="7.0186 0.0000 0.0000 0.0000 7.0260 0.0000 -2.2166 0.0000 6.4935" Properties=species:S:1:pos:R:3 pbc="T T T"
Tm 1.1779 1.1979 0.4202
Tm 0.0696 2.3151 3.6669
Tm 4.7324 4.7109 2.8266
Tm 3.6241 5.8281 6.0733
Nb 1.2384 4.7615 1.6070
Nb 0.1301 5.7775 4.8538
Nb 2.4010 0.0000 3.2468
Nb 3.5093 3.5130 0.0000
Nb 4.6718 1.2485 1.6397
Nb 3.5635 2.2645 4.8865
Si -1.3441 3.7581 5.6211
Si -0.2358 6.7809 2.3743
Si 1.5215 0.8810 5.6582
Si 2.6298 2.6320 2.4114
Si 2.1722 4.3940 4.0821
Si 3.2805 6.1450 0.8353
Si 5.0378 0.2451 4.1192
Si 6.1461 3.2679 0.8724
```

The 10 most intense peaks (15° ≤ 2θ ≤ 90°), in order of rising 2θ:
2θ/deg, d [Å], I (rel.)
28.9, 3.090, 29.4
29.3, 3.045, 28.4
33.8, 2.650, 37.7
34.2, 2.618, 36.2
36.5, 2.460, 92.3
36.8, 2.440, 100.0
37.3, 2.413, 39.5
41.0, 2.203, 47.9
41.3, 2.188, 26.1
41.5, 2.175, 38.4